# Sr2SnPb
Theoretical PXRD pattern, copper Kα. Input: the PBE geometry in Alexandria.

abc: 6.6360 4.6359 9.7810
angles: 90.00 106.05 90.00
Fractional positions:
Sr 0.1947 0.2500 0.4294
Sr 0.2919 0.7500 0.0644
Sr 0.7081 0.2500 0.9356
Sr 0.8053 0.7500 0.5706
Sn 0.1316 0.2500 0.7900
Sn 0.8684 0.7500 0.2100
Pb 0.3780 0.7500 0.7072
Pb 0.6220 0.2500 0.2928

The 10 most intense peaks (2θ from 10° to 90°), sorted by position:
2theta, d/Å, intensity
14.47, 6.122, 21
18.87, 4.703, 31
27.00, 3.302, 89
29.17, 3.061, 23
34.15, 2.625, 100
35.13, 2.554, 27
35.23, 2.547, 32
38.85, 2.318, 24
50.61, 1.804, 19
53.45, 1.714, 20

=====

# Nd2Zn12Au5
Theoretical PXRD pattern, copper Kα. Input: the PBE geometry in Alexandria.

abc: 7.0137 7.0137 7.0137
angles: 82.96 82.96 82.96
Fractional positions:
Nd 0.1634 0.1634 0.1634
Nd 0.8366 0.8366 0.8366
Zn 0.1472 0.1472 0.6673
Zn 0.1472 0.6673 0.1472
Zn 0.2032 0.5000 0.7968
Zn 0.2032 0.7968 0.5000
Zn 0.3327 0.8528 0.8528
Zn 0.5000 0.2032 0.7968
Zn 0.5000 0.7968 0.2032
Zn 0.6673 0.1472 0.1472
Zn 0.7968 0.2032 0.5000
Zn 0.7968 0.5000 0.2032
Zn 0.8528 0.3327 0.8528
Zn 0.8528 0.8528 0.3327
Au 0.0000 0.5000 0.5000
Au 0.3960 0.3960 0.3960
Au 0.5000 0.0000 0.5000
Au 0.5000 0.5000 0.0000
Au 0.6040 0.6040 0.6040

The 10 most intense peaks (2θ from 10° to 90°), sorted by position:
2theta, d/Å, intensity
12.79, 6.919, 60
28.58, 3.123, 26
33.41, 2.682, 32
38.77, 2.323, 100
39.05, 2.306, 60
39.86, 2.262, 64
40.11, 2.248, 52
43.82, 2.066, 67
56.83, 1.620, 31
70.18, 1.341, 26